1.
# Pr4Sn2I5
Simulated powder diffraction line list, a wavelength of 1.5418 Å. Input: a DFT-relaxed cell (PBE, Alexandria).
No peak broadening, texture or thermal motion is included.

Main lines, by intensity (2θ = 10–90°):
| d (Å) | Rel. int. | (hkl) |
| --- | --- | --- |
| 3.062 | 100 | 1 1 2 |
| 3.477 | 63 | 3 1 1 |
| 2.721 | 52 | 5 1 -2 |
| 2.167 | 52 | 0 2 0 |
| 3.035 | 48 | 8 0 -1 |
| 2.217 | 48 | 9 1 1 |
| 2.594 | 34 | 4 0 3 |
| 7.609 | 29 | 2 0 -1 |
| 4.159 | 26 | 6 0 0 |
| 1.763 | 25 | 8 2 -1 |

Structure:
Lattice parameters (Å, degrees): 25.065 4.335 8.971 90.00 95.39 90.00
Space group C2/m (No. 12)
Symmetry-distinct sites (fractional):
1 Pr 0.021 0.000 0.283 [4 per cell]
2 Pr 0.166 0.500 0.439 [4 per cell]
3 Sn 0.055 0.500 0.557 [4 per cell]
4 I 0.000 0.500 0.000 [2 per cell]
5 I 0.142 0.000 0.178 [4 per cell]
6 I 0.213 0.000 0.684 [4 per cell]

2.
# LaCo4Ge4
Simulated powder diffraction line list, a wavelength of 1.5418 Å. Input: a DFT-relaxed cell (PBE, Alexandria).
No peak broadening, texture or thermal motion is included.

Main lines, by intensity (2θ = 10–90°):
| d (Å) | Rel. int. | (hkl) |
| --- | --- | --- |
| 2.529 | 100 | 1 3 0 |
| 2.780 | 77 | 2 1 1 |
| 1.982 | 66 | 3 2 1 |
| 2.209 | 61 | 0 0 2 |
| 1.664 | 54 | 1 3 2 |
| 1.504 | 35 | 3 4 1 |
| 1.776 | 30 | 1 4 1 |
| 2.827 | 27 | 2 2 0 |
| 2.282 | 24 | 3 0 1 |
| 3.867 | 18 | 1 0 1 |

Structure:
Lattice parameters (Å, degrees): 7.997 7.997 4.418 90.00 90.00 90.00
Space group I4/m (No. 87)
Symmetry-distinct sites (fractional):
1 La 0.000 0.000 0.000 [2 per cell]
2 Co 0.108 0.382 0.000 [8 per cell]
3 Ge 0.150 0.287 0.500 [8 per cell]